Diffraction record for Ti5Te3O18. The powder XRD pattern is simulated, not measured: it uses a structure optimized by DFT (PBE) and Cu Kα.
Intensities are scaled so that the largest is 100.

Peak list (10 most intense, 10° ≤ 2θ ≤ 90°, in order of falling intensity)
2theta  d (Å)  I_rel
20.67  4.297  100
20.08  4.423  47
29.67  3.011  44
34.93  2.568  25
40.24  2.241  25
35.28  2.544  23
19.89  4.464  22
34.80  2.578  22
47.95  1.897  22
21.78  4.080  20

Structure:
```
Ti5Te3O18
1.0
7.3906 -4.4618 0.0000
7.3906 4.4618 0.0000
-1.0298 0.0000 10.4701
Ti Te O
10 6 36
direct
0.0000 0.0000 0.0000 Ti
0.1336 0.1727 0.5081 Ti
0.3044 0.0090 0.7924 Ti
0.3643 0.3341 0.7117 Ti
0.5147 0.1710 0.0013 Ti
0.6334 0.3666 0.5000 Ti
0.6659 0.6357 0.2883 Ti
0.8273 0.8664 0.4919 Ti
0.8290 0.4853 0.9987 Ti
0.9910 0.6956 0.2076 Ti
0.1537 0.5259 0.9362 Te
0.1554 0.5012 0.4542 Te
0.4741 0.8463 0.0638 Te
0.4988 0.8446 0.5458 Te
0.8277 0.1713 0.2528 Te
0.8287 0.1723 0.7472 Te
0.0374 0.4896 0.1010 O
0.0403 0.0932 0.1669 O
0.0454 0.7915 0.0761 O
0.0601 0.7305 0.5448 O
0.0634 0.1189 0.6880 O
0.1196 0.3978 0.6012 O
0.2014 0.2727 0.3817 O
0.2035 0.5883 0.3090 O
0.2085 0.9546 0.9239 O
0.2675 0.2671 0.8477 O
0.2695 0.9399 0.4552 O
0.2739 0.5487 0.7786 O
0.3784 0.0894 0.6263 O
0.3843 0.4061 0.0328 O
0.4001 0.4135 0.5380 O
0.4117 0.7965 0.6910 O
0.4513 0.7261 0.2214 O
0.4599 0.0900 0.1301 O
0.5104 0.9626 0.8990 O
0.5865 0.5999 0.4620 O
0.5918 0.2298 0.7962 O
0.5939 0.6157 0.9672 O
0.6022 0.8804 0.3988 O
0.6098 0.2716 0.3355 O
0.7273 0.7986 0.6183 O
0.7284 0.3902 0.6645 O
0.7329 0.7325 0.1523 O
0.7469 0.1190 0.0804 O
0.7632 0.0959 0.5735 O
0.7702 0.4082 0.2038 O
0.8810 0.2531 0.9196 O
0.8811 0.9366 0.3120 O
0.9041 0.2368 0.4265 O
0.9068 0.9597 0.8331 O
0.9100 0.5401 0.8699 O
0.9106 0.6216 0.3737 O
```